[1]
Starting from a crystal structure in the Materials Project, relaxed with GGA-PBE, the XRD peak list of LiAgF4 was simulated for Cu Kα (λ = 1.5418 Å).
Peak positions follow from Bragg's law for the DFT cell and can differ from measured ones.

Crystal structure
Cell lengths 4.727, 4.727, 3.576 Å; angles 96.40, 96.40, 86.41 degrees
Fractional positions:
Li 0.000 0.000 0.000
Ag 0.500 0.500 0.500
F 0.196 0.804 0.500
F 0.291 0.291 0.059
F 0.709 0.709 0.941
F 0.804 0.196 0.500

Main lines, by angle (2θ from 15° to 90°):
2theta, Rel. int.
18.9, 1000
25.2, 283
26.2, 323
27.6, 300
30.0, 352
33.6, 384
39.5, 204
44.0, 360


[2]
Starting from a crystal structure in the Materials Project, relaxed with GGA-PBE, the XRD peak list of Zr2GaN3 was simulated for Cu Kα (λ = 1.5418 Å).
Peak positions follow from Bragg's law for the DFT cell and can differ from measured ones.

Crystal structure
Cell lengths 6.178, 6.178, 10.343 Å; angles 96.27, 96.27, 119.46 degrees
Fractional positions:
Zr 0.023 0.775 0.561
Zr 0.143 0.380 0.796
Zr 0.225 0.977 0.939
Zr 0.380 0.143 0.296
Zr 0.620 0.857 0.704
Zr 0.775 0.023 0.061
Zr 0.857 0.620 0.204
Zr 0.977 0.225 0.439
Ga 0.355 0.565 0.118
Ga 0.435 0.645 0.382
Ga 0.565 0.355 0.618
Ga 0.645 0.435 0.882
N 0.028 0.972 0.750
N 0.097 0.276 0.995
N 0.212 0.563 0.607
N 0.249 0.751 0.250
N 0.276 0.097 0.495
N 0.437 0.788 0.893
N 0.563 0.212 0.107
N 0.724 0.903 0.505
N 0.751 0.249 0.750
N 0.788 0.437 0.393
N 0.903 0.724 0.005
N 0.972 0.028 0.250

Main lines, by angle (2θ from 15° to 90°):
2theta, Rel. int.
26.6, 216
31.4, 747
33.4, 1000
33.6, 553
37.7, 216
41.2, 222
51.4, 320
54.2, 201


[3]
Starting from a crystal structure in the Materials Project, relaxed with GGA-PBE, the XRD peak list of Ca4PbN4 was simulated for Cu Kα (λ = 1.5418 Å).
Peak positions follow from Bragg's law for the DFT cell and can differ from measured ones.

Crystal structure
Cell lengths 11.960, 3.596, 16.133 Å; angles 90.00, 90.00, 90.00 degrees
Fractional positions:
Ca 0.098 0.250 0.071
Ca 0.114 0.750 0.250
Ca 0.130 0.750 0.794
Ca 0.139 0.250 0.631
Ca 0.361 0.750 0.131
Ca 0.370 0.250 0.294
Ca 0.386 0.250 0.750
Ca 0.402 0.750 0.571
Ca 0.598 0.250 0.429
Ca 0.614 0.750 0.250
Ca 0.630 0.750 0.706
Ca 0.639 0.250 0.869
Ca 0.861 0.750 0.369
Ca 0.870 0.250 0.206
Ca 0.886 0.250 0.750
Ca 0.902 0.750 0.929
Pb 0.096 0.250 0.431
Pb 0.404 0.750 0.931
Pb 0.596 0.250 0.069
Pb 0.904 0.750 0.569
N 0.006 0.750 0.684
N 0.019 0.250 0.862
N 0.053 0.250 0.936
N 0.234 0.250 0.184
N 0.266 0.750 0.684
N 0.447 0.750 0.436
N 0.481 0.750 0.362
N 0.494 0.250 0.184
N 0.506 0.750 0.816
N 0.519 0.250 0.638
N 0.553 0.250 0.564
N 0.734 0.250 0.316
N 0.766 0.750 0.816
N 0.947 0.750 0.064
N 0.981 0.750 0.138
N 0.994 0.250 0.316

Main lines, by angle (2θ from 15° to 90°):
2theta, Rel. int.
22.2, 631
26.5, 297
29.0, 465
29.9, 774
31.1, 1000
31.5, 751
34.0, 364
34.2, 449


[4]
Starting from a crystal structure in the Materials Project, relaxed with GGA-PBE, the XRD peak list of Cd2FeC6N6 was simulated for Cu Kα (λ = 1.5418 Å).
Peak positions follow from Bragg's law for the DFT cell and can differ from measured ones.

Crystal structure
Cell lengths 6.382, 6.382, 6.378 Å; angles 90.00, 90.00, 120.00 degrees
Fractional positions:
Cd 0.333 0.667 0.000
Cd 0.667 0.333 0.000
Fe 0.000 0.000 0.500
C 0.000 0.233 0.677
C 0.000 0.767 0.323
C 0.233 0.000 0.677
C 0.233 0.233 0.323
C 0.767 0.000 0.323
C 0.767 0.767 0.677
N 0.000 0.373 0.799
N 0.000 0.627 0.201
N 0.373 0.000 0.799
N 0.373 0.373 0.201
N 0.627 0.000 0.201
N 0.627 0.627 0.799

Main lines, by angle (2θ from 15° to 90°):
2theta, Rel. int.
21.3, 1000
28.0, 434
31.3, 384
35.4, 181
40.0, 559
45.7, 259
62.3, 189
65.4, 203


[5]
Starting from a crystal structure in the Materials Project, relaxed with GGA-PBE, the XRD peak list of Ti2ZnO4 was simulated for Cu Kα (λ = 1.5418 Å).
Peak positions follow from Bragg's law for the DFT cell and can differ from measured ones.

Crystal structure
Cell lengths 6.127, 6.127, 14.855 Å; angles 90.44, 90.44, 58.31 degrees
Fractional positions:
Ti 0.000 0.000 0.000
Ti 0.001 0.001 0.632
Ti 0.152 0.686 0.460
Ti 0.303 0.848 0.783
Ti 0.328 0.328 0.912
Ti 0.336 0.336 0.659
Ti 0.509 0.982 0.123
Ti 0.665 0.665 0.339
Ti 0.686 0.152 0.460
Ti 0.848 0.303 0.783
Ti 0.982 0.509 0.123
Ti 0.994 0.994 0.244
Zn 0.166 0.166 0.460
Zn 0.329 0.329 0.292
Zn 0.494 0.494 0.123
Zn 0.657 0.657 0.952
Zn 0.665 0.665 0.584
Zn 0.820 0.820 0.789
O 0.010 0.498 0.378
O 0.158 0.672 0.707
O 0.164 0.164 0.202
O 0.166 0.647 0.203
O 0.172 0.172 0.702
O 0.304 0.837 0.539
O 0.324 0.324 0.040
O 0.336 0.336 0.533
O 0.344 0.827 0.043
O 0.489 0.987 0.871
O 0.494 0.494 0.868
O 0.495 0.495 0.379
O 0.498 0.010 0.378
O 0.647 0.166 0.203
O 0.654 0.654 0.718
O 0.667 0.667 0.210
O 0.672 0.158 0.707
O 0.827 0.344 0.043
O 0.833 0.833 0.043
O 0.837 0.304 0.539
O 0.840 0.840 0.541
O 0.987 0.489 0.871
O 0.991 0.991 0.372
O 0.996 0.996 0.871

Main lines, by angle (2θ from 15° to 90°):
2theta, Rel. int.
34.3, 789
34.6, 801
34.7, 1000
34.9, 551
35.1, 433
42.3, 658
60.5, 620
61.4, 573


[6]
Starting from a crystal structure in the Materials Project, relaxed with GGA-PBE, the XRD peak list of CuTe was simulated for Cu Kα (λ = 1.5418 Å).
Peak positions follow from Bragg's law for the DFT cell and can differ from measured ones.

Crystal structure
Cell lengths 3.851, 3.851, 3.851 Å; angles 119.22, 116.91, 93.40 degrees
Fractional positions:
Cu 0.000 0.000 0.000
Te 0.500 0.500 0.000

Main lines, by angle (2θ from 15° to 90°):
2theta, Rel. int.
31.9, 1000
33.9, 425
45.0, 190
46.6, 171
47.3, 656
57.5, 179
58.9, 166
77.1, 219


[7]
Starting from a crystal structure in the Materials Project, relaxed with GGA-PBE, the XRD peak list of Gd2Nb2N2O5 was simulated for Cu Kα (λ = 1.5418 Å).
Peak positions follow from Bragg's law for the DFT cell and can differ from measured ones.

Crystal structure
Cell lengths 5.545, 7.893, 13.589 Å; angles 98.49, 90.61, 90.30 degrees
Fractional positions:
Gd 0.000 0.000 0.000
Gd 0.004 0.109 0.476
Gd 0.074 0.463 0.956
Gd 0.476 0.060 0.266
Gd 0.485 0.677 0.777
Gd 0.495 0.555 0.309
Gd 0.556 0.198 0.828
Gd 0.978 0.613 0.522
Nb 0.002 0.934 0.719
Nb 0.009 0.406 0.717
Nb 0.487 0.349 0.501
Nb 0.496 0.867 0.512
Nb 0.517 0.746 0.065
Nb 0.519 0.259 0.066
Nb 0.985 0.305 0.270
Nb 0.998 0.796 0.272
N 0.065 0.560 0.277
N 0.273 0.282 0.376
N 0.278 0.418 0.803
N 0.284 0.196 0.962
N 0.571 0.109 0.507
N 0.656 0.314 0.217
N 0.782 0.255 0.979
N 0.905 0.159 0.700
O 0.104 0.659 0.691
O 0.159 0.902 0.566
O 0.160 0.355 0.572
O 0.169 0.192 0.163
O 0.186 0.844 0.162
O 0.262 0.889 0.371
O 0.314 0.750 0.949
O 0.318 0.956 0.774
O 0.377 0.612 0.475
O 0.397 0.514 0.082
O 0.597 0.002 0.089
O 0.655 0.763 0.217
O 0.675 0.472 0.619
O 0.688 0.822 0.624
O 0.764 0.784 0.416
O 0.772 0.395 0.417
O 0.781 0.478 0.823
O 0.810 0.915 0.836
O 0.815 0.701 0.010
O 0.874 0.062 0.313

Main lines, by angle (2θ from 15° to 90°):
2theta, Rel. int.
26.5, 474
28.0, 256
29.5, 1000
29.7, 289
32.3, 891
32.5, 296
32.6, 290
46.0, 321


[8]
Starting from a crystal structure in the Materials Project, relaxed with GGA-PBE, the XRD peak list of Na6Y3TaSi2P4O24 was simulated for Cu Kα (λ = 1.5418 Å).
Peak positions follow from Bragg's law for the DFT cell and can differ from measured ones.

Crystal structure
Cell lengths 9.246, 9.275, 9.302 Å; angles 60.16, 60.33, 60.20 degrees
Fractional positions:
Na 0.000 0.000 0.000
Na 0.082 0.739 0.759
Na 0.240 0.296 0.582
Na 0.510 0.495 0.498
Na 0.774 0.713 0.398
Na 0.874 0.245 0.262
Y 0.159 0.561 0.141
Y 0.643 0.055 0.657
Y 0.842 0.441 0.851
Ta 0.348 0.948 0.341
Si 0.054 0.756 0.446
Si 0.955 0.254 0.545
P 0.237 0.256 0.955
P 0.442 0.767 0.724
P 0.554 0.235 0.247
P 0.740 0.736 0.064
O 0.033 0.578 0.622
O 0.068 0.753 0.267
O 0.076 0.229 0.975
O 0.137 0.086 0.473
O 0.184 0.431 0.975
O 0.240 0.777 0.415
O 0.266 0.747 0.866
O 0.307 0.100 0.115
O 0.381 0.249 0.777
O 0.408 0.401 0.187
O 0.441 0.772 0.551
O 0.459 0.938 0.690
O 0.507 0.070 0.296
O 0.557 0.240 0.410
O 0.578 0.768 0.231
O 0.608 0.607 0.759
O 0.706 0.886 0.897
O 0.736 0.225 0.104
O 0.775 0.253 0.555
O 0.778 0.558 0.057
O 0.891 0.927 0.492
O 0.897 0.742 0.078
O 0.961 0.234 0.727
O 0.996 0.430 0.391

Main lines, by angle (2θ from 15° to 90°):
2theta, Rel. int.
19.1, 1000
19.2, 209
22.4, 237
30.4, 427
30.5, 375
33.3, 230
33.4, 254
33.5, 215